Computed powder XRD pattern
Compound: Ba12Zn6In
Radiation: Cu Ka
Structure: the GGA-PBE geometry in Alexandria

Cell and atoms:
a = 10.1768 Å, b = 10.1768 Å, c = 10.1768 Å
α = 109.47°, β = 109.47°, γ = 109.47°
Fractional positions:
Ba: 0.1063 0.2929 0.8134
Ba: 0.1866 0.4795 0.2929
Ba: 0.1866 0.8937 0.7071
Ba: 0.2929 0.1866 0.4795
Ba: 0.2929 0.8134 0.1063
Ba: 0.4795 0.2929 0.1866
Ba: 0.5205 0.7071 0.8134
Ba: 0.7071 0.1866 0.8937
Ba: 0.7071 0.8134 0.5205
Ba: 0.8134 0.1063 0.2929
Ba: 0.8134 0.5205 0.7071
Ba: 0.8937 0.7071 0.1866
Zn: 0.1116 0.5000 0.6116
Zn: 0.3883 0.8884 0.5000
Zn: 0.5000 0.3883 0.8884
Zn: 0.5000 0.6116 0.1116
Zn: 0.6116 0.1116 0.5000
Zn: 0.8884 0.5000 0.3883
In: 0.0000 0.0000 0.0000

Main lines, sorted by position (5 to 70 degrees two-theta):
- 23.95 deg, I = 27
- 26.27 deg, I = 50
- 28.42 deg, I = 100
- 30.43 deg, I = 21
- 32.32 deg, I = 14
- 39.09 deg, I = 21
- 44.98 deg, I = 36
- 47.71 deg, I = 30
- 55.28 deg, I = 21
- 68.71 deg, I = 15

Computed powder XRD pattern
Compound: Ba2ZrIn
Radiation: Cu Ka
Structure: the GGA-PBE geometry in Alexandria

Cell and atoms:
a = 6.1800 Å, b = 6.1800 Å, c = 3.8402 Å
α = 90.00°, β = 90.00°, γ = 90.00°
Fractional positions:
Ba: 0.0000 0.5000 0.0000
Ba: 0.5000 0.0000 0.0000
Zr: 0.0000 0.0000 0.5000
In: 0.5000 0.5000 0.5000

Main lines, sorted by position (5 to 70 degrees two-theta):
- 28.89 deg, I = 60
- 31.00 deg, I = 100
- 41.32 deg, I = 23
- 47.34 deg, I = 8
- 52.54 deg, I = 44
- 56.42 deg, I = 18
- 59.86 deg, I = 7
- 64.62 deg, I = 12
- 67.82 deg, I = 10
- 68.95 deg, I = 10

Computed powder XRD pattern
Compound: Ba5Ir
Radiation: Cu Ka
Structure: the GGA-PBE geometry in Alexandria

Cell and atoms:
a = 12.3928 Å, b = 4.5923 Å, c = 10.7032 Å
α = 90.00°, β = 90.00°, γ = 90.00°
Fractional positions:
Ba: 0.0000 0.0000 0.0000
Ba: 0.0947 0.5000 0.3052
Ba: 0.2500 0.0000 0.6238
Ba: 0.2500 0.5000 0.9711
Ba: 0.4053 0.5000 0.3052
Ba: 0.5000 0.0000 0.0000
Ba: 0.5947 0.5000 0.6948
Ba: 0.7500 0.0000 0.3762
Ba: 0.7500 0.5000 0.0289
Ba: 0.9053 0.5000 0.6948
Ir: 0.2500 0.0000 0.1682
Ir: 0.7500 0.0000 0.8318

Main lines, sorted by position (5 to 70 degrees two-theta):
- 8.26 deg, I = 53
- 10.92 deg, I = 70
- 25.54 deg, I = 56
- 26.57 deg, I = 100
- 27.27 deg, I = 42
- 29.40 deg, I = 74
- 30.28 deg, I = 43
- 34.95 deg, I = 51
- 39.24 deg, I = 34
- 41.70 deg, I = 29